For Li2V2Si2O9, a cell relaxed with PBE+U gives the calculated powder diffractogram in this record (Cu Kα, 1.54184 Å).
Lines closer than 0.1° are merged.

Structural model:
Lattice parameters (Å, degrees): 8.4153 5.2654 14.1753 90.00 90.00 90.00
Positions (direct):
Li1 0.0366 0.0990 0.1569
Li2 0.0366 0.9010 0.6569
Li3 0.4634 0.4010 0.6569
Li4 0.4634 0.5990 0.1569
Li5 0.5366 0.4010 0.8431
Li6 0.5366 0.5990 0.3431
Li7 0.9634 0.0990 0.3431
Li8 0.9634 0.9010 0.8431
V1 0.1586 0.3753 0.8276
V2 0.1586 0.6247 0.3276
V3 0.3414 0.1247 0.3276
V4 0.3414 0.8753 0.8276
V5 0.6586 0.1247 0.1724
V6 0.6586 0.8753 0.6724
V7 0.8414 0.3753 0.6724
V8 0.8414 0.6247 0.1724
Si1 0.1553 0.2853 0.5271
Si2 0.1553 0.7147 0.0271
Si3 0.3447 0.2147 0.0271
Si4 0.3447 0.7853 0.5271
Si5 0.6553 0.2147 0.4729
Si6 0.6553 0.7853 0.9729
Si7 0.8447 0.2853 0.9729
Si8 0.8447 0.7147 0.4729
O1 0.0000 0.4895 0.2500
O2 0.0000 0.5105 0.7500
O3 0.0163 0.2417 0.9238
O4 0.0163 0.7583 0.4238
O5 0.1517 0.2886 0.4114
O6 0.1517 0.7114 0.9114
O7 0.1715 0.0442 0.7713
O8 0.1715 0.9558 0.2713
O9 0.2382 0.4549 0.0679
O10 0.2382 0.5451 0.5679
O11 0.2618 0.0451 0.5679
O12 0.2618 0.9549 0.0679
O13 0.3285 0.4558 0.2713
O14 0.3285 0.5442 0.7713
O15 0.3483 0.2114 0.9114
O16 0.3483 0.7886 0.4114
O17 0.4837 0.2583 0.4238
O18 0.4837 0.7417 0.9238
O19 0.5000 0.0105 0.7500
O20 0.5000 0.9895 0.2500
O21 0.5163 0.2583 0.0762
O22 0.5163 0.7417 0.5762
O23 0.6517 0.2114 0.5886
O24 0.6517 0.7886 0.0886
O25 0.6715 0.4558 0.2287
O26 0.6715 0.5442 0.7287
O27 0.7382 0.0451 0.9321
O28 0.7382 0.9549 0.4321
O29 0.7618 0.4549 0.4321
O30 0.7618 0.5451 0.9321
O31 0.8285 0.0442 0.7287
O32 0.8285 0.9558 0.2287
O33 0.8483 0.2886 0.0886
O34 0.8483 0.7114 0.5886
O35 0.9837 0.2417 0.5762
O36 0.9837 0.7583 0.0762

Principal peaks in the range 2θ = 10–90°, by intensity:
Position (°2θ), I_rel, hkl
27.3, 100, 1 0 4
33.2, 84, 2 1 3
16.4, 80, 1 0 2
20.9, 44, 1 1 1
36.4, 30, 0 2 2
40.7, 29, 1 2 3


For Li2VSiO4, a cell relaxed with PBE+U gives the calculated powder diffractogram in this record (Cu Kα, 1.54184 Å).
Lines closer than 0.1° are merged.

Structural model:
Lattice parameters (Å, degrees): 4.8289 5.8010 7.9347 90.00 127.13 90.00
Positions (direct):
Li1 0.0000 0.1453 0.0000
Li2 0.0000 0.8547 0.5000
Li3 0.2576 0.3057 0.7579
Li4 0.2576 0.6943 0.2579
V1 0.7637 0.3487 0.2415
V2 0.7637 0.6513 0.7415
Si1 0.4862 0.1652 0.5031
Si2 0.4862 0.8348 0.0031
O1 0.1468 0.1618 0.5053
O2 0.1468 0.8382 0.0053
O3 0.3584 0.3194 0.2878
O4 0.3584 0.6806 0.7878
O5 0.5944 0.1030 0.9998
O6 0.5944 0.8970 0.4998
O7 0.8074 0.2994 0.7199
O8 0.8074 0.7006 0.2199

Principal peaks in the range 2θ = 10–90°, by intensity:
Position (°2θ), I_rel, hkl
32.2, 100, 0 1 2
37.2, 98, 2 0 -2
20.8, 97, 0 1 1
23.2, 75, 1 0 -2
55.7, 46, 0 3 2
23.1, 45, 1 0 0


For Li2VSiO5, a cell relaxed with PBE+U gives the calculated powder diffractogram in this record (Cu Kα, 1.54184 Å).
Lines closer than 0.1° are merged.

Structural model:
Lattice parameters (Å, degrees): 9.1082 4.5085 9.2564 90.00 90.00 90.00
Positions (direct):
Li1 0.0000 0.0078 0.0000
Li2 0.0000 0.9922 0.5000
Li3 0.2498 0.0030 0.2524
Li4 0.2498 0.9970 0.7524
Li5 0.5000 0.3831 0.7497
Li6 0.5000 0.6169 0.2497
Li7 0.7502 0.0030 0.2524
Li8 0.7502 0.9970 0.7524
V1 0.0000 0.4326 0.2571
V2 0.0000 0.5674 0.7571
V3 0.5000 0.0418 0.4644
V4 0.5000 0.9582 0.9644
Si1 0.2505 0.4992 0.5056
Si2 0.2505 0.5008 0.0056
Si3 0.7495 0.4992 0.5056
Si4 0.7495 0.5008 0.0056
O1 0.0000 0.1935 0.7596
O2 0.0000 0.8065 0.2596
O3 0.1466 0.2968 0.3989
O4 0.1466 0.7032 0.8989
O5 0.1478 0.3016 0.1145
O6 0.1478 0.6984 0.6145
O7 0.3508 0.2620 0.9150
O8 0.3508 0.7380 0.4150
O9 0.3556 0.2578 0.5916
O10 0.3556 0.7422 0.0916
O11 0.5000 0.1951 0.2988
O12 0.5000 0.8049 0.7988
O13 0.6444 0.2578 0.5916
O14 0.6444 0.7422 0.0916
O15 0.6492 0.2620 0.9150
O16 0.6492 0.7380 0.4150
O17 0.8522 0.3016 0.1145
O18 0.8522 0.6984 0.6145
O19 0.8534 0.2968 0.3989
O20 0.8534 0.7032 0.8989

Principal peaks in the range 2θ = 10–90°, by intensity:
Position (°2θ), I_rel, hkl
34.0, 100, 2 1 2
21.5, 70, 1 0 2
22.0, 65, 1 1 0
27.5, 40, 2 0 2
56.7, 26, 4 0 4
46.6, 21, 3 1 3


For Li2V2Si4O11, a cell relaxed with PBE+U gives the calculated powder diffractogram in this record (Cu Kα, 1.54184 Å).
Lines closer than 0.1° are merged.

Structural model:
Lattice parameters (Å, degrees): 7.0053 7.5231 8.9691 100.04 100.79 103.73
Positions (direct):
Li1 0.1066 0.2835 0.1956
Li2 0.3708 0.7560 0.8473
Li3 0.6292 0.2440 0.1527
Li4 0.8934 0.7165 0.8044
V1 0.1267 0.8882 0.6069
V2 0.3805 0.1232 0.3896
V3 0.6195 0.8768 0.6104
V4 0.8733 0.1118 0.3931
Si1 0.0242 0.7273 0.2301
Si2 0.2593 0.1130 0.9665
Si3 0.2631 0.4715 0.5967
Si4 0.4634 0.7309 0.2336
Si5 0.5366 0.2691 0.7664
Si6 0.7369 0.5285 0.4033
Si7 0.7407 0.8870 0.0335
Si8 0.9758 0.2727 0.7699
O1 0.0802 0.9175 0.3677
O2 0.1004 0.2433 0.9336
O3 0.1059 0.4532 0.7165
O4 0.1778 0.9037 0.8529
O5 0.1790 0.3111 0.4345
O6 0.2170 0.6603 0.1896
O7 0.3154 0.1352 0.1513
O8 0.3163 0.6920 0.5927
O9 0.4356 0.0781 0.6295
O10 0.4680 0.4426 0.7064
O11 0.4748 0.2346 0.9298
O12 0.5252 0.7654 0.0702
O13 0.5320 0.5574 0.2936
O14 0.5644 0.9219 0.3705
O15 0.6837 0.3080 0.4073
O16 0.6846 0.8648 0.8487
O17 0.7830 0.3397 0.8104
O18 0.8210 0.6889 0.5655
O19 0.8222 0.0963 0.1471
O20 0.8941 0.5468 0.2835
O21 0.8996 0.7567 0.0664
O22 0.9198 0.0825 0.6323

Principal peaks in the range 2θ = 10–90°, by intensity:
Position (°2θ), I_rel, hkl
10.3, 100, 0 0 1
31.4, 84, 2 -2 0
31.5, 81, 2 1 -1
12.4, 61, 0 1 0
26.6, 54, 0 1 2
29.3, 53, 0 2 1


What did the third record say?
For Li2VSiO5, a cell relaxed with PBE+U gives the calculated powder diffractogram in this record (Cu Kα, 1.54184 Å).
Lines closer than 0.1° are merged.

Structural model:
Lattice parameters (Å, degrees): 9.1082 4.5085 9.2564 90.00 90.00 90.00
Positions (direct):
Li1 0.0000 0.0078 0.0000
Li2 0.0000 0.9922 0.5000
Li3 0.2498 0.0030 0.2524
Li4 0.2498 0.9970 0.7524
Li5 0.5000 0.3831 0.7497
Li6 0.5000 0.6169 0.2497
Li7 0.7502 0.0030 0.2524
Li8 0.7502 0.9970 0.7524
V1 0.0000 0.4326 0.2571
V2 0.0000 0.5674 0.7571
V3 0.5000 0.0418 0.4644
V4 0.5000 0.9582 0.9644
Si1 0.2505 0.4992 0.5056
Si2 0.2505 0.5008 0.0056
Si3 0.7495 0.4992 0.5056
Si4 0.7495 0.5008 0.0056
O1 0.0000 0.1935 0.7596
O2 0.0000 0.8065 0.2596
O3 0.1466 0.2968 0.3989
O4 0.1466 0.7032 0.8989
O5 0.1478 0.3016 0.1145
O6 0.1478 0.6984 0.6145
O7 0.3508 0.2620 0.9150
O8 0.3508 0.7380 0.4150
O9 0.3556 0.2578 0.5916
O10 0.3556 0.7422 0.0916
O11 0.5000 0.1951 0.2988
O12 0.5000 0.8049 0.7988
O13 0.6444 0.2578 0.5916
O14 0.6444 0.7422 0.0916
O15 0.6492 0.2620 0.9150
O16 0.6492 0.7380 0.4150
O17 0.8522 0.3016 0.1145
O18 0.8522 0.6984 0.6145
O19 0.8534 0.2968 0.3989
O20 0.8534 0.7032 0.8989

Principal peaks in the range 2θ = 10–90°, by intensity:
Position (°2θ), I_rel, hkl
34.0, 100, 2 1 2
21.5, 70, 1 0 2
22.0, 65, 1 1 0
27.5, 40, 2 0 2
56.7, 26, 4 0 4
46.6, 21, 3 1 3